# 1
Calculated powder XRD pattern
Compound: Ho2TmU2Ru5
Radiation: Cu Kα (λ = 1.5418 Å)
Structure: a cell relaxed with PBE
Intensities are scaled so that the largest is 1000.

Atomic structure:
Cell lengths 10.554, 10.554, 3.582 Å; angles 90.00, 90.00, 90.00 degrees
Space group P4/mbm (No. 127)
Symmetry-distinct sites (fractional):
Ho: 0.174 0.326 0.000 x4
Tm: 0.000 0.000 0.000 x2
U: 0.136 0.636 0.000 x4
Ru: 0.000 0.500 0.500 x2
Ru: 0.054 0.789 0.500 x8

The 10 most intense peaks (10° ≤ 2θ ≤ 90°), by intensity:
2θ = 36.81°, rel. 1000, (3 1 1); 2θ = 39.77°, rel. 287, (3 2 1); 2θ = 26.71°, rel. 243, (3 1 0); 2θ = 42.56°, rel. 232, (4 0 1); 2θ = 36.11°, rel. 227, (3 3 0); 2θ = 34.72°, rel. 211, (2 2 1); 2θ = 73.25°, rel. 188, (4 4 2); 2θ = 50.99°, rel. 187, (0 0 2); 2θ = 35.06°, rel. 178, (4 1 0); 2θ = 18.80°, rel. 166, (2 1 0)

---

# 2
Calculated powder XRD pattern
Compound: Pr3P6Pd20
Radiation: Cu Kα (λ = 1.5418 Å)
Structure: a cell relaxed with PBE
Intensities are scaled so that the largest is 1000.

Atomic structure:
Cell lengths 12.387, 12.387, 12.387 Å; angles 90.00, 90.00, 90.00 degrees
Space group Fm-3m (No. 225)
Symmetry-distinct sites (fractional):
Pr: 0.000 0.000 0.000 x4
Pr: 0.250 0.250 0.250 x8
P: 0.000 0.000 0.263 x24
Pd: 0.000 0.174 0.174 x48
Pd: 0.114 0.114 0.386 x32

The 10 most intense peaks (10° ≤ 2θ ≤ 90°), by intensity:
2θ = 37.73°, rel. 1000, (3 3 3); 2θ = 41.23°, rel. 302, (4 4 0); 2θ = 35.50°, rel. 302, (4 2 2); 2θ = 63.75°, rel. 293, (6 6 0); 2θ = 43.21°, rel. 238, (5 3 1); 2θ = 32.32°, rel. 236, (4 2 0); 2θ = 75.15°, rel. 179, (8 4 4); 2θ = 65.23°, rel. 137, (5 5 5); 2θ = 48.76°, rel. 120, (6 2 2); 2θ = 76.52°, rel. 96, (9 3 3)

---

# 3
Calculated powder XRD pattern
Compound: TbPmTh
Radiation: Cu Kα (λ = 1.5418 Å)
Structure: a cell relaxed with PBE
Intensities are scaled so that the largest is 1000.

Atomic structure:
Cell lengths 3.611, 3.611, 15.165 Å; angles 90.00, 90.00, 90.00 degrees
Space group I4mm (No. 107)
Symmetry-distinct sites (fractional):
Tb: 0.000 0.000 0.000 x2
Pm: 0.000 0.000 0.319 x2
Th: 0.000 0.000 0.658 x2

The 10 most intense peaks (10° ≤ 2θ ≤ 90°), by intensity:
2θ = 30.42°, rel. 1000, (1 0 3); 2θ = 35.15°, rel. 346, (1 1 0); 2θ = 60.15°, rel. 295, (2 1 3); 2θ = 50.83°, rel. 235, (1 1 6); 2θ = 35.52°, rel. 161, (0 0 6); 2θ = 60.65°, rel. 132, (1 0 9); 2θ = 50.56°, rel. 125, (2 0 0); 2θ = 63.30°, rel. 122, (2 0 6); 2θ = 82.79°, rel. 111, (2 1 9); 2θ = 11.67°, rel. 71, (0 0 2)

---

# 4
Calculated powder XRD pattern
Compound: BaSr3Ir
Radiation: Cu Kα (λ = 1.5418 Å)
Structure: a cell relaxed with PBE
Intensities are scaled so that the largest is 1000.

Atomic structure:
Cell lengths 8.573, 15.103, 7.113 Å; angles 90.00, 90.00, 90.00 degrees
Space group Cmc2_1 (No. 36)
Symmetry-distinct sites (fractional):
Ba: 0.000 0.087 0.000 x4
Sr: 0.000 0.411 0.449 x4
Sr: 0.247 0.326 0.976 x8
Ir: 0.000 0.248 0.226 x4

The 10 most intense peaks (10° ≤ 2θ ≤ 90°), by intensity:
2θ = 17.23°, rel. 1000, (1 1 1); 2θ = 27.00°, rel. 919, (2 2 1); 2θ = 34.87°, rel. 611, (2 2 2); 2θ = 11.72°, rel. 498, (0 2 0); 2θ = 26.73°, rel. 484, (0 4 1); 2θ = 41.61°, rel. 413, (2 6 0); 2θ = 34.65°, rel. 286, (0 4 2); 2θ = 24.01°, rel. 271, (1 3 1); 2θ = 68.14°, rel. 231, (2 6 4); 2θ = 42.17°, rel. 207, (4 0 0)

---

# 5
Calculated powder XRD pattern
Compound: Nd6HC3S2
Radiation: Cu Kα (λ = 1.5418 Å)
Structure: a cell relaxed with PBE
Intensities are scaled so that the largest is 1000.

Atomic structure:
Cell lengths 17.237, 3.845, 7.952 Å; angles 90.00, 106.29, 90.00 degrees
Space group C2/m (No. 12)
Symmetry-distinct sites (fractional):
Nd: 0.010 0.000 0.229 x4
Nd: 0.161 0.500 0.099 x4
Nd: 0.175 0.500 0.562 x4
H: 0.000 0.500 0.500 x2
C: 0.000 0.500 0.000 x2
C: 0.168 0.000 0.332 x4
S: 0.163 0.000 0.825 x4

The 10 most intense peaks (10° ≤ 2θ ≤ 90°), by intensity:
2θ = 32.43°, rel. 1000, (1 1 -2); 2θ = 28.32°, rel. 933, (2 0 2); 2θ = 45.66°, rel. 292, (2 0 -4); 2θ = 26.98°, rel. 282, (4 0 -2); 2θ = 47.42°, rel. 244, (5 1 2); 2θ = 55.40°, rel. 164, (1 1 4); 2θ = 47.28°, rel. 124, (0 2 0); 2θ = 58.52°, rel. 119, (6 2 0); 2θ = 35.23°, rel. 112, (5 1 -1); 2θ = 78.62°, rel. 99, (4 2 4)

---

# 6
Calculated powder XRD pattern
Compound: Ac2Ga3Pt6
Radiation: Cu Kα (λ = 1.5418 Å)
Structure: a cell relaxed with PBE
Intensities are scaled so that the largest is 1000.

Atomic structure:
Cell lengths 7.6507, 7.6507, 4.4618 Å; angles 90.00, 90.00, 120.00 degrees
Space group P-62m (No. 189)
Symmetry-distinct sites (fractional):
Ac: 0.3333 0.6667 0.0000 x2
Ga: 0.0000 0.6322 0.5000 x3
Pt: 0.0000 0.3010 0.5000 x3
Pt: 0.0000 0.7909 0.0000 x3

The 10 most intense peaks (10° ≤ 2θ ≤ 90°), by intensity:
2θ = 30.79°, rel. 1000, (1 1 1); 2θ = 41.34°, rel. 617, (2 1 1); 2θ = 40.86°, rel. 297, (3 0 0); 2θ = 40.43°, rel. 296, (0 0 2); 2θ = 68.18°, rel. 274, (4 1 1); 2θ = 35.86°, rel. 232, (2 1 0); 2θ = 58.84°, rel. 206, (3 0 2); 2θ = 55.14°, rel. 138, (2 1 2); 2θ = 26.91°, rel. 137, (2 0 0); 2θ = 74.15°, rel. 113, (2 1 3)